Starting from a cell relaxed with PBE+U, the XRD peak list of Li2Cr3TeO8 was calculated for Cu Kα (weighted mean of Kα1 and Kα2).

Structure:
```
data_Li2Cr3TeO8
_chemical_formula_sum 'Li4 Cr6 Te2 O16'
_cell_length_a 6.0067
_cell_length_b 6.0067
_cell_length_c 9.7680
_cell_angle_alpha 90.00
_cell_angle_beta 90.00
_cell_angle_gamma 120.00
_space_group_name_H-M_alt 'P 63 m c'
_space_group_IT_number 186
_space_group_name_Hall 'P 6c -2c'
loop_
_atom_site_label
_atom_site_fract_x
_atom_site_fract_y
_atom_site_fract_z
_atom_site_occupancy
Li1 0.0000 0.0000 0.0000 1
Li2 0.3333 0.6667 0.4155 1
Cr1 0.1695 0.3389 0.7239 1
Te1 0.3333 0.6667 0.9982 1
O1 0.0000 0.0000 0.3168 1
O2 0.0339 0.5170 0.8479 1
O3 0.1590 0.3179 0.1057 1
O4 0.3333 0.6667 0.6198 1
```

The 6 most intense peaks (2θ = 10–80°), sorted by position:
- 19.33 deg, I = 100
- 25.01 deg, I = 31
- 32.44 deg, I = 38
- 35.08 deg, I = 52
- 35.72 deg, I = 28
- 44.59 deg, I = 28